Er3Mg2Pd6: calculated X-ray diffraction stick pattern (Cu Kα (λ = 1.5418 Å)), based on a crystal structure in Alexandria, relaxed with PBE.
No peak broadening, texture or thermal motion is included.

Most intense lines, 2θ from 5° to 70°, sorted by position:
- 2θ 13.07, I 17
- 2θ 18.52, I 8
- 2θ 26.31, I 9
- 2θ 29.48, I 21
- 2θ 32.37, I 9
- 2θ 35.04, I 19
- 2θ 37.55, I 7
- 2θ 39.92, I 100
- 2θ 52.29, I 7
- 2θ 55.96, I 7
- 2θ 57.73, I 14
- 2θ 59.47, I 10

Atomic structure:
a b c (Å): 8.298 8.298 8.298
angles (deg): 109.47 109.47 109.47
Atoms (fractional coordinates):
Er  0.000  0.305  0.305
Er  0.000  0.695  0.695
Er  0.305  0.000  0.305
Er  0.305  0.305  0.000
Er  0.695  0.000  0.695
Er  0.695  0.695  0.000
Mg  0.000  0.000  0.500
Mg  0.000  0.500  0.000
Mg  0.500  0.000  0.000
Mg  0.500  0.500  0.500
Pd  0.000  0.338  0.662
Pd  0.000  0.662  0.338
Pd  0.324  0.662  0.662
Pd  0.338  0.000  0.662
Pd  0.338  0.338  0.676
Pd  0.338  0.662  0.000
Pd  0.338  0.676  0.338
Pd  0.662  0.000  0.338
Pd  0.662  0.324  0.662
Pd  0.662  0.338  0.000
Pd  0.662  0.662  0.324
Pd  0.676  0.338  0.338

***

NaPtO3: calculated X-ray diffraction stick pattern (Cu Kα (λ = 1.5418 Å)), based on a crystal structure in Alexandria, relaxed with PBE.
No peak broadening, texture or thermal motion is included.

Most intense lines, 2θ from 5° to 70°, sorted by position:
- 2θ 18.31, I 100
- 2θ 18.62, I 90
- 2θ 26.23, I 100
- 2θ 34.51, I 62
- 2θ 37.76, I 19
- 2θ 41.83, I 21
- 2θ 43.71, I 51
- 2θ 44.00, I 51
- 2θ 51.82, I 33
- 2θ 58.65, I 22
- 2θ 59.34, I 20
- 2θ 65.88, I 16

Atomic structure:
a b c (Å): 6.796 6.796 5.626
angles (deg): 90.00 90.00 90.96
Atoms (fractional coordinates):
Na  0.195  0.305  0.250
Na  0.305  0.195  0.750
Na  0.695  0.805  0.250
Na  0.805  0.695  0.750
Pt  0.246  0.754  0.374
Pt  0.254  0.746  0.874
Pt  0.746  0.254  0.126
Pt  0.754  0.246  0.626
O  0.042  0.696  0.117
O  0.102  0.898  0.635
O  0.196  0.542  0.617
O  0.304  0.958  0.117
O  0.398  0.602  0.135
O  0.458  0.804  0.617
O  0.542  0.196  0.383
O  0.602  0.398  0.865
O  0.696  0.042  0.883
O  0.804  0.458  0.383
O  0.898  0.102  0.365
O  0.958  0.304  0.883

***

Cs2AsOF5: calculated X-ray diffraction stick pattern (Cu Kα (λ = 1.5418 Å)), based on a crystal structure in Alexandria, relaxed with PBE.
No peak broadening, texture or thermal motion is included.

Most intense lines, 2θ from 5° to 70°, sorted by position:
- 2θ 16.73, I 45
- 2θ 19.73, I 20
- 2θ 27.21, I 100
- 2θ 28.04, I 43
- 2θ 33.84, I 42
- 2θ 37.63, I 17
- 2θ 40.07, I 32
- 2θ 47.58, I 16
- 2θ 49.12, I 34
- 2θ 56.14, I 18
- 2θ 61.76, I 13
- 2θ 65.57, I 14

Atomic structure:
a b c (Å): 6.566 6.566 6.566
angles (deg): 122.02 122.02 86.54
Atoms (fractional coordinates):
Cs  0.000  0.500  0.500
Cs  0.500  0.000  0.500
As  0.264  0.264  0.000
O  0.440  0.440  0.000
F  0.038  0.038  0.592
F  0.038  0.445  0.000
F  0.070  0.070  0.000
F  0.445  0.038  0.000
F  0.445  0.445  0.408

***

Hg5Au3: calculated X-ray diffraction stick pattern (Cu Kα (λ = 1.5418 Å)), based on a crystal structure in Alexandria, relaxed with PBE.
No peak broadening, texture or thermal motion is included.

Most intense lines, 2θ from 5° to 70°, sorted by position:
- 2θ 30.19, I 31
- 2θ 32.89, I 20
- 2θ 33.09, I 47
- 2θ 33.61, I 25
- 2θ 34.92, I 48
- 2θ 35.59, I 64
- 2θ 35.79, I 60
- 2θ 36.26, I 48
- 2θ 36.83, I 100
- 2θ 38.16, I 32
- 2θ 38.33, I 35
- 2θ 56.29, I 31

Atomic structure:
a b c (Å): 8.269 8.269 7.974
angles (deg): 95.16 95.16 137.68
Atoms (fractional coordinates):
Hg  0.036  0.677  0.807
Hg  0.208  0.405  0.638
Hg  0.234  0.234  0.960
Hg  0.323  0.964  0.193
Hg  0.405  0.208  0.638
Hg  0.595  0.792  0.362
Hg  0.677  0.036  0.807
Hg  0.766  0.766  0.040
Hg  0.792  0.595  0.362
Hg  0.964  0.323  0.193
Au  0.201  0.201  0.319
Au  0.244  0.756  0.500
Au  0.337  0.663  0.000
Au  0.663  0.337  0.000
Au  0.756  0.244  0.500
Au  0.799  0.799  0.681